No. 1
Li9Mn2Co5O16: calculated powder X-ray diffraction pattern (CuKα), based on a PBE+U-relaxed structure.
No peak broadening, texture or thermal motion is included.

```
Li9Mn2Co5O16
1.0
5.9362 0.0000 0.0000
1.5102 6.3666 0.0000
1.2056 -0.2537 7.6121
Li Mn Co O
9 2 5 16
direct
0.0000 0.0000 0.0000
0.0020 0.4989 0.4939
0.1281 0.8657 0.6117
0.2456 0.7473 0.2480
0.3789 0.6215 0.8667
0.5095 0.4935 0.4839
0.6251 0.3672 0.1172
0.7592 0.2497 0.7359
0.8795 0.1299 0.3718
0.6366 0.8692 0.6148
0.8843 0.6235 0.8626
0.1277 0.3757 0.1263
0.2454 0.2515 0.7350
0.3702 0.1227 0.3643
0.5029 0.9949 0.9913
0.7585 0.7376 0.2476
0.0488 0.6826 0.0499
0.0845 0.1843 0.5630
0.1714 0.5589 0.6998
0.1908 0.0653 0.1878
0.3087 0.4258 0.2935
0.3524 0.9384 0.8003
0.4288 0.2851 0.9304
0.4554 0.8153 0.4392
0.5582 0.1676 0.5542
0.5888 0.6992 0.0382
0.6703 0.0428 0.1757
0.6983 0.5805 0.6862
0.8141 0.4499 0.2933
0.8203 0.9140 0.7933
0.9103 0.8190 0.4383
0.9453 0.3308 0.9291
```

Top 10 peaks for 2θ = 15–90°, low angle first:
2θ = 18.31°, intensity 100.0, (1 1 0)
2θ = 35.32°, intensity 16.1, (-1 1 2)
2θ = 36.20°, intensity 13.6, (1 -2 1)
2θ = 36.38°, intensity 12.7, (1 0 3)
2θ = 42.55°, intensity 29.8, (2 0 -2)
2θ = 43.93°, intensity 26.6, (0 3 -1)
2θ = 44.12°, intensity 26.0, (2 1 3)
2θ = 47.46°, intensity 9.0, (1 2 -3)
2θ = 62.67°, intensity 14.8, (2 3 -3)
2θ = 62.93°, intensity 7.7, (-2 3 1)

No. 2
LiCoPO4: calculated powder X-ray diffraction pattern (CuKα), based on a PBE+U-relaxed structure.
No peak broadening, texture or thermal motion is included.

```
LiCoPO4
1.0
11.0418 0.0000 0.0000
0.0000 6.1321 0.0000
0.0000 0.0000 5.0163
Li Co P O
4 4 4 16
direct
0.0685 0.2171 0.0000
0.4315 0.7171 0.5000
0.5685 0.2829 0.0000
0.9315 0.7829 0.5000
0.1665 0.4709 0.5017
0.3335 0.9709 0.0017
0.6665 0.0291 0.5017
0.8335 0.5291 0.0017
0.0881 0.7313 0.0053
0.4119 0.2313 0.5053
0.5881 0.7687 0.0053
0.9119 0.2687 0.5053
0.0435 0.2443 0.3967
0.0862 0.7159 0.3143
0.1483 0.5198 0.8937
0.1598 0.9390 0.9206
0.3402 0.4390 0.4206
0.3517 0.0198 0.3937
0.4138 0.2159 0.8143
0.4565 0.7443 0.8967
0.5435 0.2557 0.3967
0.5862 0.7841 0.3143
0.6483 0.9802 0.8937
0.6598 0.5609 0.9206
0.8402 0.0610 0.4206
0.8517 0.4802 0.3937
0.9138 0.2841 0.8143
0.9565 0.7557 0.8967
```

Top 10 peaks for 2θ = 15–90°, low angle first:
2θ = 16.54°, intensity 62.2, (1 1 0)
2θ = 21.66°, intensity 20.4, (2 1 0)
2θ = 22.90°, intensity 57.8, (0 1 1)
2θ = 24.30°, intensity 100.0, (1 1 1)
2θ = 28.28°, intensity 47.0, (3 1 0)
2θ = 32.43°, intensity 24.8, (4 0 0)
2θ = 33.43°, intensity 45.0, (2 2 0)
2θ = 35.80°, intensity 43.2, (0 0 2)
2θ = 38.06°, intensity 35.0, (2 2 1)
2θ = 58.49°, intensity 21.6, (6 2 0)